TlP: simulated X-ray powder pattern (Cu Kα), based on the PBE geometry in Alexandria.
Lines closer than 0.1° are merged.

Crystal structure
Cell lengths 3.3414, 5.5896, 10.6548 Å; angles 90.00, 90.00, 90.00 degrees
Space group Imma (No. 74)
One atom of each set of equivalent atoms:
1 Tl 0.0000 0.2500 0.1021 (multiplicity 4)
2 P 0.0000 0.2500 0.6815 (multiplicity 4)

The 10 most intense peaks (2θ from 5° to 70°), in order of rising 2θ:
two_theta, intensity, index
17.92, 45, 0 1 1
27.99, 43, 1 0 1
29.80, 66, 0 1 3
32.02, 38, 0 2 0
33.65, 19, 0 0 4
35.55, 100, 1 1 2
43.04, 28, 1 2 1
50.82, 20, 1 0 5
59.39, 23, 1 3 2
61.35, 29, 1 2 5

---

TlP: simulated X-ray powder pattern (Cu Kα), based on the PBE geometry in Alexandria.
Lines closer than 0.1° are merged.

Crystal structure
Cell lengths 6.1038, 6.1038, 6.1038 Å; angles 90.00, 90.00, 90.00 degrees
Space group F-43m (No. 216)
One atom of each set of equivalent atoms:
1 Tl 0.0000 0.0000 0.0000 (multiplicity 4)
2 P 0.2500 0.2500 0.7500 (multiplicity 4)

The 8 most intense peaks (2θ from 5° to 70°), in order of rising 2θ:
two_theta, intensity, index
25.27, 100, 1 1 1
29.26, 36, 2 0 0
41.86, 52, 2 2 0
49.53, 50, 3 1 1
51.89, 10, 2 2 2
60.69, 9, 4 0 0
66.81, 20, 3 3 1
68.78, 14, 4 2 0

---

TlP: simulated X-ray powder pattern (Cu Kα), based on the PBE geometry in Alexandria.
Lines closer than 0.1° are merged.

Crystal structure
Cell lengths 13.7059, 3.3993, 6.6499 Å; angles 90.00, 91.28, 90.00 degrees
Space group Cm (No. 8)
One atom of each set of equivalent atoms:
1 Tl 0.0000 0.0000 0.0000 (multiplicity 2)
2 Tl 0.0794 0.0000 0.5076 (multiplicity 2)
3 Tl 0.2788 0.0000 0.8629 (multiplicity 2)
4 P 0.1715 0.5000 0.1774 (multiplicity 2)
5 P 0.2913 0.5000 0.4048 (multiplicity 2)
6 P 0.3945 0.0000 0.3315 (multiplicity 2)

The 10 most intense peaks (2θ from 5° to 70°), in order of rising 2θ:
two_theta, intensity, index
18.39, 45, 2 0 -1
26.01, 36, 4 0 0
26.82, 37, 0 0 2
27.03, 71, 1 1 0
29.60, 100, 4 0 1
30.15, 41, 2 0 2
32.84, 34, 3 1 0
35.41, 62, 3 1 -1
35.76, 37, 3 1 1
38.55, 67, 1 1 2

---

TlVP: simulated X-ray powder pattern (Cu Kα), based on the PBE geometry in Alexandria.
Lines closer than 0.1° are merged.

Crystal structure
Cell lengths 3.7812, 3.7812, 9.3035 Å; angles 90.00, 90.00, 90.00 degrees
Space group P4/nmm (No. 129, origin choice 2)
One atom of each set of equivalent atoms:
1 Tl 0.2500 0.2500 0.1662 (multiplicity 2)
2 V 0.2500 0.7500 0.5000 (multiplicity 2)
3 P 0.2500 0.2500 0.6595 (multiplicity 2)

The 10 most intense peaks (2θ from 5° to 70°), in order of rising 2θ:
two_theta, intensity, index
25.43, 81, 1 0 1
28.79, 34, 0 0 3
30.47, 100, 1 0 2
33.52, 31, 1 1 0
34.92, 31, 1 1 1
38.85, 33, 1 1 2
45.80, 31, 1 0 4
48.13, 27, 2 0 0
55.21, 21, 2 1 1
58.04, 32, 2 1 2

---

YTl4P: simulated X-ray powder pattern (Cu Kα), based on the PBE geometry in Alexandria.
Lines closer than 0.1° are merged.

Crystal structure
Cell lengths 8.7604, 8.7604, 8.7604 Å; angles 90.00, 90.00, 90.00 degrees
Space group F-43m (No. 216)
One atom of each set of equivalent atoms:
1 Y 0.0000 0.0000 0.0000 (multiplicity 4)
2 Tl 0.1247 0.1247 0.3753 (multiplicity 16)
3 P 0.2500 0.2500 0.7500 (multiplicity 4)

The 10 most intense peaks (2θ from 5° to 70°), in order of rising 2θ:
two_theta, intensity, index
17.53, 68, 1 1 1
28.83, 5, 2 2 0
33.94, 100, 3 1 1
35.50, 80, 2 2 2
41.22, 29, 4 0 0
45.11, 20, 3 3 1
51.08, 2, 4 2 2
54.42, 35, 5 1 1
59.71, 36, 4 4 0
62.75, 15, 5 3 1

---

TmP5: simulated X-ray powder pattern (Cu Kα), based on the PBE geometry in Alexandria.
Lines closer than 0.1° are merged.

Crystal structure
Cell lengths 4.9191, 9.3599, 5.3179 Å; angles 90.00, 102.34, 90.00 degrees
Space group P2_1/m (No. 11)
One atom of each set of equivalent atoms:
1 Tm 0.0025 0.2500 0.3467 (multiplicity 2)
2 P 0.2711 0.2500 0.8908 (multiplicity 2)
3 P 0.2832 0.5283 0.4055 (multiplicity 4)
4 P 0.3834 0.5934 0.0434 (multiplicity 4)

The 10 most intense peaks (2θ from 5° to 70°), in order of rising 2θ:
two_theta, intensity, index
18.46, 31, 1 0 0
18.96, 37, 0 2 0
19.54, 55, 0 1 1
24.32, 64, 1 1 -1
26.59, 100, 1 2 0
27.86, 31, 1 0 1
29.48, 94, 1 1 1
33.50, 34, 0 3 1
35.88, 46, 0 1 2
42.31, 44, 2 2 0